The following is a simulated X-ray diffraction stick pattern of BaNaNdWO6. It was derived from a GGA+U-relaxed structure, using λ = 1.5418 Å (Cu Kα).
Neutral-atom scattering factors, no anomalous dispersion.

Atomic structure:
```
data_BaNaNdWO6
_cell_length_a 8.577
_cell_length_b 8.577
_cell_length_c 8.577
_cell_angle_alpha 90.00
_cell_angle_beta 90.00
_cell_angle_gamma 90.00
_symmetry_space_group_name_H-M 'F -4 3 m'
_symmetry_Int_Tables_number 216
_symmetry_space_group_name_Hall 'F -4 2 3'
loop_
_atom_site_label
_atom_site_fract_x
_atom_site_fract_y
_atom_site_fract_z
Ba1 0.000 0.000 0.000
Na1 0.000 0.000 0.500
Nd1 0.250 0.250 0.750
W1 0.250 0.250 0.250
O1 0.022 0.250 0.250
```

Top 10 peaks for 2θ = 5–70°, by angle:
- 2θ = 17.91°, intensity 15, (1 1 1)
- 2θ = 20.71°, intensity 25, (2 0 0)
- 2θ = 29.45°, intensity 100, (2 2 0)
- 2θ = 34.69°, intensity 8, (3 1 1)
- 2θ = 42.14°, intensity 31, (4 0 0)
- 2θ = 47.40°, intensity 11, (4 2 0)
- 2θ = 52.25°, intensity 41, (4 2 2)
- 2θ = 61.12°, intensity 19, (4 4 0)
- 2θ = 65.27°, intensity 5, (6 0 0)
- 2θ = 69.28°, intensity 19, (6 2 0)


The following is a simulated X-ray diffraction stick pattern of Ba6Na2V2Sb2O17. It was derived from a GGA+U-relaxed structure, using λ = 1.5418 Å (Cu Kα).
Neutral-atom scattering factors, no anomalous dispersion.

Atomic structure:
```
data_Ba6Na2V2Sb2O17
_cell_length_a 6.0079
_cell_length_b 6.0079
_cell_length_c 30.4496
_cell_angle_alpha 90.00
_cell_angle_beta 90.00
_cell_angle_gamma 120.00
_symmetry_space_group_name_H-M 'P 63/m m c'
_symmetry_Int_Tables_number 194
_symmetry_space_group_name_Hall '-P 6c 2c'
loop_
_atom_site_label
_atom_site_fract_x
_atom_site_fract_y
_atom_site_fract_z
Ba1 0.0000 0.0000 0.0000
Ba2 0.0000 0.0000 0.2500
Ba3 0.3333 0.6667 0.0913
Ba4 0.3333 0.6667 0.6778
Na1 0.0000 0.0000 0.1246
V1 0.3333 0.6667 0.5522
Sb1 0.3333 0.6667 0.2024
O1 0.0368 0.5184 0.2500
O2 0.1728 0.3456 0.1699
O3 0.1762 0.3524 0.5726
O4 0.3333 0.6667 0.0047
```

Top 10 peaks for 2θ = 5–70°, by angle:
- 2θ = 5.80°, intensity 32, (0 0 2)
- 2θ = 20.68°, intensity 20, (1 0 4)
- 2θ = 26.71°, intensity 23, (1 0 7)
- 2θ = 29.07°, intensity 46, (1 0 8)
- 2θ = 29.74°, intensity 100, (1 1 0)
- 2θ = 42.07°, intensity 27, (2 0 8)
- 2θ = 42.26°, intensity 13, (1 1 10)
- 2θ = 52.37°, intensity 16, (2 1 8)
- 2θ = 52.78°, intensity 20, (3 0 0)
- 2θ = 61.76°, intensity 18, (2 2 0)


The following is a simulated X-ray diffraction stick pattern of Ba6Na2Ta2V2O17. It was derived from a GGA+U-relaxed structure, using λ = 1.5418 Å (Cu Kα).
Neutral-atom scattering factors, no anomalous dispersion.

Atomic structure:
```
data_Ba6Na2Ta2V2O17
_cell_length_a 6.0010
_cell_length_b 6.0010
_cell_length_c 30.4465
_cell_angle_alpha 90.00
_cell_angle_beta 90.00
_cell_angle_gamma 120.00
_symmetry_space_group_name_H-M 'P 63/m m c'
_symmetry_Int_Tables_number 194
_symmetry_space_group_name_Hall '-P 6c 2c'
loop_
_atom_site_label
_atom_site_fract_x
_atom_site_fract_y
_atom_site_fract_z
Ba1 0.0000 0.0000 0.0000
Ba2 0.0000 0.0000 0.2500
Ba3 0.3333 0.6667 0.0907
Ba4 0.3333 0.6667 0.6803
Na1 0.0000 0.0000 0.1247
Ta1 0.3333 0.6667 0.2017
V1 0.3333 0.6667 0.5522
O1 0.0329 0.5164 0.2500
O2 0.1756 0.3512 0.1698
O3 0.1759 0.3517 0.5724
O4 0.3333 0.6667 0.0045
```

Top 10 peaks for 2θ = 5–70°, by angle:
- 2θ = 5.81°, intensity 60, (0 0 2)
- 2θ = 17.31°, intensity 20, (1 0 1)
- 2θ = 20.70°, intensity 13, (1 0 4)
- 2θ = 29.08°, intensity 47, (1 0 8)
- 2θ = 29.78°, intensity 100, (1 1 0)
- 2θ = 42.11°, intensity 27, (2 0 8)
- 2θ = 42.29°, intensity 19, (1 1 10)
- 2θ = 52.42°, intensity 17, (2 1 8)
- 2θ = 52.85°, intensity 20, (3 0 0)
- 2θ = 61.84°, intensity 18, (2 2 0)


The following is a simulated X-ray diffraction stick pattern of BaNaTbWO6. It was derived from a GGA+U-relaxed structure, using λ = 1.5418 Å (Cu Kα).
Neutral-atom scattering factors, no anomalous dispersion.

Atomic structure:
```
data_BaNaTbWO6
_cell_length_a 8.440
_cell_length_b 8.440
_cell_length_c 8.440
_cell_angle_alpha 90.00
_cell_angle_beta 90.00
_cell_angle_gamma 90.00
_symmetry_space_group_name_H-M 'F -4 3 m'
_symmetry_Int_Tables_number 216
_symmetry_space_group_name_Hall 'F -4 2 3'
loop_
_atom_site_label
_atom_site_fract_x
_atom_site_fract_y
_atom_site_fract_z
Ba1 0.000 0.000 0.000
Na1 0.000 0.000 0.500
Tb1 0.250 0.250 0.750
W1 0.250 0.250 0.250
O1 0.018 0.250 0.250
```

Top 10 peaks for 2θ = 5–70°, by angle:
- 2θ = 18.21°, intensity 13, (1 1 1)
- 2θ = 21.05°, intensity 27, (2 0 0)
- 2θ = 29.95°, intensity 100, (2 2 0)
- 2θ = 35.27°, intensity 7, (3 1 1)
- 2θ = 42.86°, intensity 30, (4 0 0)
- 2θ = 46.93°, intensity 3, (3 3 1)
- 2θ = 48.22°, intensity 11, (4 2 0)
- 2θ = 53.17°, intensity 41, (4 2 2)
- 2θ = 62.22°, intensity 19, (4 4 0)
- 2θ = 66.47°, intensity 5, (6 0 0)


The following is a simulated X-ray diffraction stick pattern of BaNaYWO6. It was derived from a GGA+U-relaxed structure, using λ = 1.5418 Å (Cu Kα).
Neutral-atom scattering factors, no anomalous dispersion.

Atomic structure:
```
data_BaNaYWO6
_cell_length_a 8.414
_cell_length_b 8.414
_cell_length_c 8.414
_cell_angle_alpha 90.00
_cell_angle_beta 90.00
_cell_angle_gamma 90.00
_symmetry_space_group_name_H-M 'F -4 3 m'
_symmetry_Int_Tables_number 216
_symmetry_space_group_name_Hall 'F -4 2 3'
loop_
_atom_site_label
_atom_site_fract_x
_atom_site_fract_y
_atom_site_fract_z
Ba1 0.000 0.000 0.000
Na1 0.000 0.000 0.500
Y1 0.250 0.250 0.750
W1 0.250 0.250 0.250
O1 0.018 0.250 0.250
```

Top 10 peaks for 2θ = 5–70°, by angle:
- 2θ = 18.26°, intensity 30, (1 1 1)
- 2θ = 21.12°, intensity 18, (2 0 0)
- 2θ = 30.04°, intensity 100, (2 2 0)
- 2θ = 35.38°, intensity 16, (3 1 1)
- 2θ = 43.00°, intensity 32, (4 0 0)
- 2θ = 47.08°, intensity 6, (3 3 1)
- 2θ = 48.38°, intensity 7, (4 2 0)
- 2θ = 53.34°, intensity 40, (4 2 2)
- 2θ = 56.86°, intensity 6, (5 1 1)
- 2θ = 62.44°, intensity 20, (4 4 0)


The following is a simulated X-ray diffraction stick pattern of Ba3Nb2NiO9. It was derived from a GGA+U-relaxed structure, using λ = 1.5418 Å (Cu Kα).
Neutral-atom scattering factors, no anomalous dispersion.

Atomic structure:
```
data_Ba3Nb2NiO9
_cell_length_a 7.180
_cell_length_b 5.845
_cell_length_c 20.246
_cell_angle_alpha 90.00
_cell_angle_beta 90.00
_cell_angle_gamma 90.00
_symmetry_space_group_name_H-M 'P 1 21/m 1'
_symmetry_Int_Tables_number 11
_symmetry_space_group_name_Hall '-P 2yb'
loop_
_atom_site_label
_atom_site_fract_x
_atom_site_fract_y
_atom_site_fract_z
Ba1 0.000 0.250 0.125
Ba2 0.000 0.250 0.625
Ba3 0.335 0.250 0.292
Ba4 0.335 0.250 0.792
Ba5 0.335 0.750 0.042
Ba6 0.335 0.750 0.542
Nb1 0.179 0.250 0.458
Nb2 0.179 0.250 0.958
Nb3 0.179 0.750 0.208
Nb4 0.179 0.750 0.708
Ni1 0.500 0.250 0.125
Ni2 0.500 0.250 0.625
O1 0.000 0.000 0.000
O2 0.000 0.000 0.250
O3 0.000 0.000 0.500
O4 0.000 0.250 0.375
O5 0.000 0.250 0.875
O6 0.326 0.006 0.418
O7 0.326 0.006 0.918
O8 0.326 0.250 0.040
O9 0.326 0.250 0.540
O10 0.326 0.506 0.168
O11 0.326 0.506 0.668
O12 0.326 0.750 0.290
O13 0.326 0.750 0.790
```

Top 10 peaks for 2θ = 5–70°, by angle:
- 2θ = 21.48°, intensity 3, (1 0 4)
- 2θ = 30.56°, intensity 100, (0 2 0)
- 2θ = 37.58°, intensity 2, (3 0 0)
- 2θ = 37.69°, intensity 7, (1 2 4)
- 2θ = 43.76°, intensity 32, (2 0 8)
- 2θ = 49.25°, intensity 2, (3 2 0)
- 2θ = 54.22°, intensity 10, (4 0 4)
- 2θ = 54.35°, intensity 30, (0 3 6)
- 2θ = 63.54°, intensity 10, (4 2 4)
- 2θ = 63.69°, intensity 10, (0 4 0)


The following is a simulated X-ray diffraction stick pattern of BaSrNbWO6. It was derived from a GGA+U-relaxed structure, using λ = 1.5418 Å (Cu Kα).
Neutral-atom scattering factors, no anomalous dispersion.

Atomic structure:
```
data_BaSrNbWO6
_cell_length_a 8.312
_cell_length_b 8.312
_cell_length_c 8.312
_cell_angle_alpha 90.00
_cell_angle_beta 90.00
_cell_angle_gamma 90.00
_symmetry_space_group_name_H-M 'F -4 3 m'
_symmetry_Int_Tables_number 216
_symmetry_space_group_name_Hall 'F -4 2 3'
loop_
_atom_site_label
_atom_site_fract_x
_atom_site_fract_y
_atom_site_fract_z
Ba1 0.000 0.000 0.000
Sr1 0.000 0.000 0.500
Nb1 0.250 0.250 0.750
W1 0.250 0.250 0.250
O1 0.007 0.250 0.750
```

Top 10 peaks for 2θ = 5–70°, by angle:
- 2θ = 18.49°, intensity 8, (1 1 1)
- 2θ = 21.38°, intensity 5, (2 0 0)
- 2θ = 30.42°, intensity 100, (2 2 0)
- 2θ = 35.83°, intensity 6, (3 1 1)
- 2θ = 43.55°, intensity 30, (4 0 0)
- 2θ = 47.69°, intensity 3, (3 3 1)
- 2θ = 49.01°, intensity 2, (4 2 0)
- 2θ = 54.05°, intensity 40, (4 2 2)
- 2θ = 57.62°, intensity 2, (3 3 3)
- 2θ = 63.29°, intensity 19, (4 4 0)


The following is a simulated X-ray diffraction stick pattern of BaNb2V2O11. It was derived from a GGA+U-relaxed structure, using λ = 1.5418 Å (Cu Kα).
Neutral-atom scattering factors, no anomalous dispersion.

Atomic structure:
```
data_BaNb2V2O11
_cell_length_a 5.6570
_cell_length_b 5.6570
_cell_length_c 28.9125
_cell_angle_alpha 90.00
_cell_angle_beta 90.00
_cell_angle_gamma 120.00
_symmetry_space_group_name_H-M 'R -3 m'
_symmetry_Int_Tables_number 166
_symmetry_space_group_name_Hall '-R 3 2"'
loop_
_atom_site_label
_atom_site_fract_x
_atom_site_fract_y
_atom_site_fract_z
Ba1 0.0000 0.0000 0.0000
Nb1 0.0000 0.0000 0.1311
V1 0.0000 0.0000 0.4000
O1 0.0000 0.0000 0.3419
O2 0.0000 0.5000 0.5000
O3 0.0114 0.5057 0.7509
```

Top 10 peaks for 2θ = 5–70°, by angle:
- 2θ = 18.37°, intensity 80, (1 0 1)
- 2θ = 19.13°, intensity 49, (0 1 2)
- 2θ = 21.92°, intensity 76, (1 0 4)
- 2θ = 28.26°, intensity 81, (1 0 7)
- 2θ = 30.74°, intensity 55, (0 1 8)
- 2θ = 31.63°, intensity 100, (1 1 0)
- 2θ = 44.69°, intensity 54, (2 0 8)
- 2θ = 54.29°, intensity 27, (2 1 7)
- 2θ = 57.89°, intensity 42, (1 1 15)
- 2θ = 66.06°, intensity 21, (2 2 0)


The following is a simulated X-ray diffraction stick pattern of Ba4Nb2WO12. It was derived from a GGA+U-relaxed structure, using λ = 1.5418 Å (Cu Kα).
Neutral-atom scattering factors, no anomalous dispersion.

Atomic structure:
```
data_Ba4Nb2WO12
_cell_length_a 5.8723
_cell_length_b 5.8723
_cell_length_c 28.6146
_cell_angle_alpha 90.00
_cell_angle_beta 90.00
_cell_angle_gamma 120.00
_symmetry_space_group_name_H-M 'R 3 m'
_symmetry_Int_Tables_number 160
_symmetry_space_group_name_Hall 'R 3 -2"'
loop_
_atom_site_label
_atom_site_fract_x
_atom_site_fract_y
_atom_site_fract_z
Ba1 0.0000 0.0000 0.0000
Ba2 0.0000 0.0000 0.1535
Ba3 0.0000 0.0000 0.4234
Ba4 0.0000 0.0000 0.5773
Nb1 0.0000 0.0000 0.2896
Nb2 0.0000 0.0000 0.7119
W1 0.0000 0.0000 0.8681
O1 0.0055 0.5027 0.4084
O2 0.0052 0.5026 0.5796
O3 0.0073 0.5037 0.9933
O4 0.1746 0.3492 0.5021
```

Top 10 peaks for 2θ = 5–70°, by angle:
- 2θ = 9.27°, intensity 5, (0 0 3)
- 2θ = 28.01°, intensity 100, (1 0 7)
- 2θ = 30.44°, intensity 82, (1 1 0)
- 2θ = 41.84°, intensity 51, (0 2 7)
- 2θ = 47.97°, intensity 19, (0 1 14)
- 2θ = 52.62°, intensity 34, (2 1 7)
- 2θ = 54.10°, intensity 17, (3 0 0)
- 2θ = 57.88°, intensity 12, (2 0 14)
- 2θ = 63.35°, intensity 16, (2 2 0)
- 2θ = 66.81°, intensity 15, (1 2 14)